# MnF4
Theoretical powder X-ray diffraction pattern, Cu Kα. Input: a DFT-relaxed cell (GGA+U, the Materials Project).
Intensities are scaled so that the largest is 100.

Structure:
Lattice parameters (Å, degrees): 6.382 6.382 6.382 129.35 129.35 74.45
Sites, in units of the cell vectors:
Mn 0.000 0.500 0.500
Mn 0.500 0.000 0.500
F 0.048 0.548 0.836
F 0.211 0.048 0.500
F 0.289 0.789 0.836
F 0.452 0.289 0.500
F 0.548 0.711 0.500
F 0.711 0.211 0.164
F 0.789 0.952 0.500
F 0.952 0.452 0.164

Principal peaks in the range 2θ from 10° to 80°, low angle first:
17.5 deg, rel. 63
23.0 deg, rel. 100
29.0 deg, rel. 62
37.4 deg, rel. 27
37.9 deg, rel. 32
45.8 deg, rel. 13
47.1 deg, rel. 13
49.0 deg, rel. 36
56.3 deg, rel. 15
65.3 deg, rel. 25